Theoretical X-ray powder pattern
Compound: TbCdSb2
Radiation: copper Kα
Structure: the GGA-PBE geometry in Alexandria

Structure:
```
TbCdSb2
1.0
4.3715 0.0000 0.0000
0.0000 4.3715 0.0000
0.0000 0.0000 11.0112
Tb Cd Sb
2 2 4
Direct
0.2500 0.2500 0.2188 Tb
0.7500 0.7500 0.7812 Tb
0.2500 0.7500 0.5000 Cd
0.7500 0.2500 0.5000 Cd
0.2500 0.2500 0.7081 Sb
0.2500 0.7500 0.0000 Sb
0.7500 0.2500 0.0000 Sb
0.7500 0.7500 0.2918 Sb
```

The 8 most intense peaks (15 to 90 degrees two-theta), by angle:
Position (°2θ), Rel. int., index
26.03, 12, 1 0 2
32.53, 19, 0 0 4
33.24, 100, 1 1 2
38.65, 13, 1 0 4
41.31, 31, 2 0 0
53.53, 18, 2 0 4
59.84, 10, 2 2 0
70.20, 22, 3 1 2